The following is a simulated X-ray powder pattern of Li4WO6. It was derived from a crystal structure in Alexandria, relaxed with GGA+U, using a wavelength of 1.5418 Å.
Neutral-atom scattering factors, no anomalous dispersion.

Principal peaks in the range 15° ≤ 2θ ≤ 90°, sorted by position:
18.64°, intensity 65
20.25°, intensity 42
20.69°, intensity 100
21.64°, intensity 75
27.66°, intensity 48
44.51°, intensity 31

Cell and atoms:
```
data_Li4WO6
_cell_length_a 5.186
_cell_length_b 5.186
_cell_length_c 5.355
_cell_angle_alpha 104.14
_cell_angle_beta 104.14
_cell_angle_gamma 115.46
_space_group_name_H-M_alt 'P 1'
_space_group_IT_number 1
loop_
_space_group_symop_operation_xyz
'x,y,z'
loop_
_atom_site_label
_atom_site_type_symbol
_atom_site_fract_x
_atom_site_fract_y
_atom_site_fract_z
_atom_site_occupancy
Li1 Li 0.155 0.845 0.000 1
Li2 Li 0.319 0.681 0.500 1
Li3 Li 0.681 0.319 0.500 1
Li4 Li 0.845 0.155 0.000 1
W1 W 0.500 0.500 0.000 1
O1 O 0.110 0.434 0.761 1
O2 O 0.290 0.290 0.208 1
O3 O 0.434 0.110 0.761 1
O4 O 0.566 0.890 0.239 1
O5 O 0.710 0.710 0.792 1
O6 O 0.890 0.566 0.239 1
```